Theoretical X-ray diffraction stick pattern
Compound: HfAsN2O
Radiation: Cu Kα
Structure: DFT lattice parameters and positions (GGA-PBE)
Kinematic intensities with the Lorentz-polarization factor, no thermal factor.

Atomic structure:
```
HfAsN2O
1.0
3.8420 0.0000 0.0000
0.0000 3.8420 0.0000
0.0000 0.0000 3.6741
Hf As N O
1 1 2 1
direct
0.0000 0.0000 0.0000 Hf
0.5000 0.5000 0.5000 As
0.0000 0.5000 0.5000 N
0.5000 0.0000 0.5000 N
0.5000 0.5000 0.0000 O
```

Top 8 peaks for 10 to 90 degrees two-theta, in order of rising 2θ:
2θ = 23.2°, intensity 14; 2θ = 33.0°, intensity 56; 2θ = 33.8°, intensity 100; 2θ = 41.3°, intensity 20; 2θ = 47.3°, intensity 30; 2θ = 59.4°, intensity 41; 2θ = 60.9°, intensity 20; 2θ = 71.0°, intensity 17